Ba2TbHfO6: simulated X-ray diffraction stick pattern (Cu Ka), based on a structure optimized by DFT (PBE).

Main lines, sorted by position (10 to 90 degrees two-theta):
2θ (°)  d/Å  Rel. int.
20.43  4.346  4
29.05  3.073  100
41.55  2.173  29
51.50  1.774  41
60.22  1.537  18
68.23  1.374  18
75.82  1.255  6
83.16  1.162  22

Crystal structure
```
data_Ba2TbHfO6
_symmetry_space_group_name_H-M 'P 1'
_symmetry_Int_Tables_number 1
_symmetry_space_group_name_Hall 'P 1'
_cell_length_a 6.147
_cell_length_b 6.147
_cell_length_c 6.147
_cell_angle_alpha 60.00
_cell_angle_beta 60.00
_cell_angle_gamma 60.00
loop_
_atom_site_label
_atom_site_type_symbol
_atom_site_fract_x
_atom_site_fract_y
_atom_site_fract_z
_atom_site_occupancy
Ba1 Ba 0.250 0.250 0.250 1
Ba2 Ba 0.750 0.750 0.750 1
Tb1 Tb 0.000 0.000 0.000 1
Hf1 Hf 0.500 0.500 0.500 1
O1 O 0.260 0.260 0.740 1
O2 O 0.260 0.740 0.260 1
O3 O 0.260 0.740 0.740 1
O4 O 0.740 0.260 0.260 1
O5 O 0.740 0.260 0.740 1
O6 O 0.740 0.740 0.260 1
```

***

Ba2TbHfO6: simulated X-ray diffraction stick pattern (Cu Ka), based on a structure optimized by DFT (PBE).

Main lines, sorted by position (10 to 90 degrees two-theta):
2θ (°)  d/Å  Rel. int.
20.48  4.337  4
29.12  3.067  100
41.65  2.168  28
51.63  1.770  42
60.37  1.533  18
68.41  1.371  18
76.02  1.252  6
83.39  1.159  22

Crystal structure
```
data_Ba2TbHfO6
_symmetry_space_group_name_H-M 'P 1'
_symmetry_Int_Tables_number 1
_symmetry_space_group_name_Hall 'P 1'
_cell_length_a 8.673
_cell_length_b 8.673
_cell_length_c 8.673
_cell_angle_alpha 90.00
_cell_angle_beta 90.00
_cell_angle_gamma 90.00
loop_
_atom_site_label
_atom_site_type_symbol
_atom_site_fract_x
_atom_site_fract_y
_atom_site_fract_z
_atom_site_occupancy
Ba1 Ba 0.250 0.250 0.250 1
Ba2 Ba 0.250 0.250 0.750 1
Ba3 Ba 0.250 0.750 0.250 1
Ba4 Ba 0.250 0.750 0.750 1
Ba5 Ba 0.750 0.250 0.250 1
Ba6 Ba 0.750 0.250 0.750 1
Ba7 Ba 0.750 0.750 0.250 1
Ba8 Ba 0.750 0.750 0.750 1
Tb1 Tb 0.000 0.000 0.000 1
Tb2 Tb 0.000 0.500 0.500 1
Tb3 Tb 0.500 0.000 0.500 1
Tb4 Tb 0.500 0.500 0.000 1
Hf1 Hf 0.000 0.000 0.500 1
Hf2 Hf 0.000 0.500 0.000 1
Hf3 Hf 0.500 0.000 0.000 1
Hf4 Hf 0.500 0.500 0.500 1
O1 O 0.015 0.516 0.760 1
O2 O 0.015 0.984 0.740 1
O3 O 0.016 0.240 0.515 1
O4 O 0.016 0.260 0.985 1
O5 O 0.240 0.515 0.016 1
O6 O 0.240 0.985 0.484 1
O7 O 0.260 0.515 0.484 1
O8 O 0.260 0.985 0.016 1
O9 O 0.484 0.240 0.985 1
O10 O 0.484 0.260 0.515 1
O11 O 0.485 0.516 0.740 1
O12 O 0.485 0.984 0.760 1
O13 O 0.515 0.016 0.240 1
O14 O 0.515 0.484 0.260 1
O15 O 0.516 0.740 0.485 1
O16 O 0.516 0.760 0.015 1
O17 O 0.740 0.015 0.984 1
O18 O 0.740 0.485 0.516 1
O19 O 0.760 0.015 0.516 1
O20 O 0.760 0.485 0.984 1
O21 O 0.984 0.740 0.015 1
O22 O 0.984 0.760 0.485 1
O23 O 0.985 0.016 0.260 1
O24 O 0.985 0.484 0.240 1
```

***

Ba2HfUO6: simulated X-ray diffraction stick pattern (Cu Ka), based on a structure optimized by DFT (PBE).

Main lines, sorted by position (10 to 90 degrees two-theta):
2θ (°)  d/Å  Rel. int.
20.51  4.331  9
29.16  3.062  100
41.71  2.165  28
51.70  1.768  42
60.46  1.531  18
68.52  1.370  19
76.14  1.250  6
83.53  1.157  23

Crystal structure
```
data_Ba2HfUO6
_symmetry_space_group_name_H-M 'P 1'
_symmetry_Int_Tables_number 1
_symmetry_space_group_name_Hall 'P 1'
_cell_length_a 6.125
_cell_length_b 6.125
_cell_length_c 6.125
_cell_angle_alpha 60.00
_cell_angle_beta 60.00
_cell_angle_gamma 60.00
loop_
_atom_site_label
_atom_site_type_symbol
_atom_site_fract_x
_atom_site_fract_y
_atom_site_fract_z
_atom_site_occupancy
Ba1 Ba 0.250 0.250 0.250 1
Ba2 Ba 0.750 0.750 0.750 1
Hf1 Hf 0.000 0.000 0.000 1
U1 U 0.500 0.500 0.500 1
O1 O 0.243 0.243 0.757 1
O2 O 0.243 0.757 0.243 1
O3 O 0.243 0.757 0.757 1
O4 O 0.757 0.243 0.243 1
O5 O 0.757 0.243 0.757 1
O6 O 0.757 0.757 0.243 1
```

***

Ba5Hf4S13: simulated X-ray diffraction stick pattern (Cu Ka), based on a structure optimized by DFT (PBE).

Main lines, sorted by position (10 to 90 degrees two-theta):
2θ (°)  d/Å  Rel. int.
24.97  3.567  100
25.17  3.538  61
35.30  2.542  20
35.89  2.502  49
43.85  2.065  20
44.22  2.048  45
51.23  1.783  26
51.67  1.769  17

Crystal structure
```
data_Ba5Hf4S13
_symmetry_space_group_name_H-M 'P 1'
_symmetry_Int_Tables_number 1
_symmetry_space_group_name_Hall 'P 1'
_cell_length_a 23.153
_cell_length_b 23.153
_cell_length_c 23.153
_cell_angle_alpha 167.59
_cell_angle_beta 167.59
_cell_angle_gamma 17.58
loop_
_atom_site_label
_atom_site_type_symbol
_atom_site_fract_x
_atom_site_fract_y
_atom_site_fract_z
_atom_site_occupancy
Ba1 Ba 0.000 0.000 0.000 1
Ba2 Ba 0.107 0.107 0.000 1
Ba3 Ba 0.211 0.211 0.000 1
Ba4 Ba 0.789 0.789 0.000 1
Ba5 Ba 0.893 0.893 0.000 1
Hf1 Hf 0.334 0.334 0.000 1
Hf2 Hf 0.445 0.445 0.000 1
Hf3 Hf 0.555 0.555 0.000 1
Hf4 Hf 0.666 0.666 0.000 1
S1 S 0.055 0.555 0.500 1
S2 S 0.163 0.663 0.500 1
S3 S 0.279 0.279 0.000 1
S4 S 0.337 0.837 0.500 1
S5 S 0.390 0.390 0.000 1
S6 S 0.445 0.945 0.500 1
S7 S 0.500 0.500 0.000 1
S8 S 0.555 0.055 0.500 1
S9 S 0.610 0.610 0.000 1
S10 S 0.663 0.163 0.500 1
S11 S 0.721 0.721 0.000 1
S12 S 0.837 0.337 0.500 1
S13 S 0.945 0.445 0.500 1
```

***

BaHfS3: simulated X-ray diffraction stick pattern (Cu Ka), based on a structure optimized by DFT (PBE).

Main lines, sorted by position (10 to 90 degrees two-theta):
2θ (°)  d/Å  Rel. int.
25.10  3.548  24
25.21  3.533  100
25.45  3.501  26
35.85  2.505  22
36.04  2.492  37
44.28  2.046  30
44.70  2.027  26
51.75  1.767  24

Crystal structure
```
data_BaHfS3
_symmetry_space_group_name_H-M 'P 1'
_symmetry_Int_Tables_number 1
_symmetry_space_group_name_Hall 'P 1'
_cell_length_a 7.095
_cell_length_b 10.020
_cell_length_c 7.001
_cell_angle_alpha 90.00
_cell_angle_beta 90.00
_cell_angle_gamma 90.00
loop_
_atom_site_label
_atom_site_type_symbol
_atom_site_fract_x
_atom_site_fract_y
_atom_site_fract_z
_atom_site_occupancy
Ba1 Ba 0.047 0.250 0.012 1
Ba2 Ba 0.453 0.750 0.512 1
Ba3 Ba 0.547 0.250 0.488 1
Ba4 Ba 0.953 0.750 0.988 1
Hf1 Hf 0.000 0.000 0.500 1
Hf2 Hf 0.000 0.500 0.500 1
Hf3 Hf 0.500 0.000 0.000 1
Hf4 Hf 0.500 0.500 0.000 1
S1 S 0.001 0.750 0.444 1
S2 S 0.211 0.529 0.789 1
S3 S 0.211 0.971 0.789 1
S4 S 0.289 0.029 0.289 1
S5 S 0.289 0.471 0.289 1
S6 S 0.499 0.250 0.944 1
S7 S 0.501 0.750 0.056 1
S8 S 0.711 0.529 0.711 1
S9 S 0.711 0.971 0.711 1
S10 S 0.789 0.029 0.211 1
S11 S 0.789 0.471 0.211 1
S12 S 0.999 0.250 0.556 1
```

***

BaHfS3: simulated X-ray diffraction stick pattern (Cu Ka), based on a structure optimized by DFT (PBE).

Main lines, sorted by position (10 to 90 degrees two-theta):
2θ (°)  d/Å  Rel. int.
25.13  3.544  100
35.84  2.506  44
44.27  2.046  45
51.58  1.772  30
58.21  1.585  20
70.28  1.339  23
81.48  1.181  12
86.93  1.121  14

Crystal structure
```
data_BaHfS3
_symmetry_space_group_name_H-M 'P 1'
_symmetry_Int_Tables_number 1
_symmetry_space_group_name_Hall 'P 1'
_cell_length_a 5.012
_cell_length_b 5.012
_cell_length_c 5.012
_cell_angle_alpha 89.99
_cell_angle_beta 89.99
_cell_angle_gamma 89.99
loop_
_atom_site_label
_atom_site_type_symbol
_atom_site_fract_x
_atom_site_fract_y
_atom_site_fract_z
_atom_site_occupancy
Ba1 Ba 0.000 0.000 0.000 1
Hf1 Hf 0.502 0.502 0.502 1
S1 S 0.003 0.505 0.505 1
S2 S 0.505 0.003 0.505 1
S3 S 0.505 0.505 0.003 1
```

***

Ba2HfS4: simulated X-ray diffraction stick pattern (Cu Ka), based on a structure optimized by DFT (PBE).

Main lines, sorted by position (10 to 90 degrees two-theta):
2θ (°)  d/Å  Rel. int.
11.15  7.933  33
24.59  3.621  100
25.36  3.512  77
33.51  2.674  27
36.17  2.483  51
42.81  2.113  22
44.23  2.048  43
50.41  1.810  26

Crystal structure
```
data_Ba2HfS4
_symmetry_space_group_name_H-M 'P 1'
_symmetry_Int_Tables_number 1
_symmetry_space_group_name_Hall 'P 1'
_cell_length_a 8.676
_cell_length_b 8.676
_cell_length_c 8.676
_cell_angle_alpha 146.73
_cell_angle_beta 146.73
_cell_angle_gamma 47.76
loop_
_atom_site_label
_atom_site_type_symbol
_atom_site_fract_x
_atom_site_fract_y
_atom_site_fract_z
_atom_site_occupancy
Ba1 Ba 0.142 0.142 0.000 1
Ba2 Ba 0.858 0.858 0.000 1
Hf1 Hf 0.500 0.500 0.000 1
S1 S 0.000 0.500 0.500 1
S2 S 0.338 0.338 0.000 1
S3 S 0.500 0.000 0.500 1
S4 S 0.662 0.662 0.000 1
```

***

BaHfS3: simulated X-ray diffraction stick pattern (Cu Ka), based on a structure optimized by DFT (PBE).

Main lines, sorted by position (10 to 90 degrees two-theta):
2θ (°)  d/Å  Rel. int.
20.95  4.240  66
21.09  4.212  51
25.81  3.451  88
26.57  3.355  51
31.32  2.856  69
33.15  2.703  100
38.73  2.325  56
46.14  1.967  53

Crystal structure
```
data_BaHfS3
_symmetry_space_group_name_H-M 'P 1'
_symmetry_Int_Tables_number 1
_symmetry_space_group_name_Hall 'P 1'
_cell_length_a 8.804
_cell_length_b 3.884
_cell_length_c 14.515
_cell_angle_alpha 90.00
_cell_angle_beta 90.00
_cell_angle_gamma 90.00
loop_
_atom_site_label
_atom_site_type_symbol
_atom_site_fract_x
_atom_site_fract_y
_atom_site_fract_z
_atom_site_occupancy
Ba1 Ba 0.064 0.250 0.175 1
Ba2 Ba 0.436 0.750 0.675 1
Ba3 Ba 0.564 0.250 0.325 1
Ba4 Ba 0.936 0.750 0.825 1
Hf1 Hf 0.163 0.750 0.442 1
Hf2 Hf 0.337 0.250 0.942 1
Hf3 Hf 0.663 0.750 0.058 1
Hf4 Hf 0.837 0.250 0.558 1
S1 S 0.020 0.750 0.602 1
S2 S 0.174 0.750 0.005 1
S3 S 0.218 0.250 0.791 1
S4 S 0.282 0.750 0.291 1
S5 S 0.326 0.250 0.505 1
S6 S 0.480 0.250 0.102 1
S7 S 0.520 0.750 0.898 1
S8 S 0.674 0.750 0.495 1
S9 S 0.718 0.250 0.709 1
S10 S 0.782 0.750 0.209 1
S11 S 0.826 0.250 0.995 1
S12 S 0.980 0.250 0.398 1
```

***

BaHfS3: simulated X-ray diffraction stick pattern (Cu Ka), based on a structure optimized by DFT (PBE).

Main lines, sorted by position (10 to 90 degrees two-theta):
2θ (°)  d/Å  Rel. int.
25.13  3.543  100
35.84  2.506  44
44.27  2.046  45
51.59  1.772  30
58.22  1.585  20
70.28  1.339  23
81.49  1.181  12
86.94  1.121  13

Crystal structure
```
data_BaHfS3
_symmetry_space_group_name_H-M 'P 1'
_symmetry_Int_Tables_number 1
_symmetry_space_group_name_Hall 'P 1'
_cell_length_a 5.010
_cell_length_b 5.012
_cell_length_c 5.012
_cell_angle_alpha 90.00
_cell_angle_beta 89.96
_cell_angle_gamma 89.99
loop_
_atom_site_label
_atom_site_type_symbol
_atom_site_fract_x
_atom_site_fract_y
_atom_site_fract_z
_atom_site_occupancy
Ba1 Ba 0.000 0.000 0.000 1
Hf1 Hf 0.496 0.499 0.499 1
S1 S 0.494 0.997 0.497 1
S2 S 0.497 0.498 0.996 1
S3 S 0.996 0.493 0.489 1
```

***

Ba4Hf3S10: simulated X-ray diffraction stick pattern (Cu Ka), based on a structure optimized by DFT (PBE).

Main lines, sorted by position (10 to 90 degrees two-theta):
2θ (°)  d/Å  Rel. int.
24.91  3.575  100
25.18  3.537  63
35.12  2.556  20
35.91  2.501  50
43.70  2.071  20
44.20  2.049  45
51.10  1.788  27
51.69  1.768  17

Crystal structure
```
data_Ba4Hf3S10
_symmetry_space_group_name_H-M 'P 1'
_symmetry_Int_Tables_number 1
_symmetry_space_group_name_Hall 'P 1'
_cell_length_a 18.235
_cell_length_b 18.235
_cell_length_c 18.235
_cell_angle_alpha 164.23
_cell_angle_beta 164.23
_cell_angle_gamma 22.37
loop_
_atom_site_label
_atom_site_type_symbol
_atom_site_fract_x
_atom_site_fract_y
_atom_site_fract_z
_atom_site_occupancy
Ba1 Ba 0.069 0.069 0.000 1
Ba2 Ba 0.200 0.200 0.000 1
Ba3 Ba 0.800 0.800 0.000 1
Ba4 Ba 0.931 0.931 0.000 1
Hf1 Hf 0.357 0.357 0.000 1
Hf2 Hf 0.500 0.500 0.000 1
Hf3 Hf 0.643 0.643 0.000 1
S1 S 0.000 0.500 0.500 1
S2 S 0.139 0.639 0.500 1
S3 S 0.288 0.288 0.000 1
S4 S 0.361 0.861 0.500 1
S5 S 0.430 0.430 0.000 1
S6 S 0.500 0.000 0.500 1
S7 S 0.570 0.570 0.000 1
S8 S 0.639 0.139 0.500 1
S9 S 0.712 0.712 0.000 1
S10 S 0.861 0.361 0.500 1
```

***

BaHg3: simulated X-ray diffraction stick pattern (Cu Ka), based on a structure optimized by DFT (PBE).

Main lines, sorted by position (10 to 90 degrees two-theta):
2θ (°)  d/Å  Rel. int.
13.79  6.424  13
27.78  3.212  24
32.51  2.754  100
33.48  2.677  22
44.04  2.056  14
49.13  1.854  18
59.23  1.560  18
60.76  1.524  19

Crystal structure
```
data_BaHg3
_symmetry_space_group_name_H-M 'P 1'
_symmetry_Int_Tables_number 1
_symmetry_space_group_name_Hall 'P 1'
_cell_length_a 7.418
_cell_length_b 7.418
_cell_length_c 5.354
_cell_angle_alpha 90.00
_cell_angle_beta 90.00
_cell_angle_gamma 120.00
loop_
_atom_site_label
_atom_site_type_symbol
_atom_site_fract_x
_atom_site_fract_y
_atom_site_fract_z
_atom_site_occupancy
Ba1 Ba 0.333 0.667 0.250 1
Ba2 Ba 0.667 0.333 0.750 1
Hg1 Hg 0.148 0.296 0.750 1
Hg2 Hg 0.148 0.852 0.750 1
Hg3 Hg 0.296 0.148 0.250 1
Hg4 Hg 0.704 0.852 0.750 1
Hg5 Hg 0.852 0.148 0.250 1
Hg6 Hg 0.852 0.704 0.250 1
```